(1)
Diffraction record for NbPO5. The PXRD pattern is computed, not measured: it uses DFT lattice parameters and positions (PBE) and a wavelength of 1.5418 Å.

Most intense lines, 10 to 80 degrees two-theta, in order of rising 2θ:
2θ (°)	I (rel.)
15.7	69.1
20.6	46.8
20.8	43.3
21.7	99.4
23.1	100.0
26.8	32.3
27.0	31.2
34.3	28.6
36.1	38.8
51.5	26.9

Atomic structure:
```
NbPO5
1.0
13.0266 0.0000 0.0000
0.0000 5.2347 0.0000
-6.4872 0.0000 11.3982
Nb P O
8 8 40
direct
0.0620 0.2401 0.1977
0.0620 0.2599 0.6977
0.4385 0.7452 0.1356
0.4385 0.7548 0.6356
0.5615 0.2452 0.3644
0.5615 0.2548 0.8644
0.9380 0.7401 0.3023
0.9380 0.7599 0.8023
0.1556 0.7270 0.0913
0.1556 0.7730 0.5913
0.3450 0.2330 0.9378
0.3450 0.2670 0.4378
0.6550 0.7330 0.5622
0.6550 0.7670 0.0622
0.8444 0.2270 0.4087
0.8444 0.2730 0.9087
0.0133 0.5591 0.2327
0.0133 0.9409 0.7327
0.0867 0.7305 0.4579
0.0867 0.7695 0.9579
0.1134 0.5819 0.6512
0.1134 0.9181 0.1512
0.1409 0.0492 0.6200
0.1409 0.4508 0.1200
0.2127 0.2460 0.3472
0.2127 0.2540 0.8472
0.2864 0.7165 0.6341
0.2864 0.7835 0.1341
0.3720 0.0763 0.5365
0.3720 0.4237 0.0365
0.3715 0.5424 0.4826
0.3715 0.9576 0.9826
0.4150 0.1949 0.3757
0.4150 0.3051 0.8757
0.4973 0.0557 0.2220
0.4973 0.4443 0.7220
0.5027 0.5557 0.2780
0.5027 0.9443 0.7780
0.5850 0.6949 0.1243
0.5850 0.8051 0.6243
0.6285 0.0424 0.0174
0.6285 0.4576 0.5174
0.6280 0.5763 0.9635
0.6280 0.9237 0.4635
0.7136 0.2165 0.8659
0.7136 0.2835 0.3659
0.7873 0.7460 0.1528
0.7873 0.7540 0.6528
0.8591 0.5492 0.8800
0.8591 0.9508 0.3800
0.8866 0.0819 0.8488
0.8866 0.4181 0.3488
0.9133 0.2305 0.0421
0.9133 0.2695 0.5421
0.9867 0.0591 0.2673
0.9867 0.4409 0.7673
```

(2)
Diffraction record for Cu2Ag3. The PXRD pattern is computed, not measured: it uses DFT lattice parameters and positions (PBE) and a wavelength of 1.5418 Å.

Most intense lines, 10 to 80 degrees two-theta, in order of rising 2θ:
2θ (°)	I (rel.)
39.4	100.0
39.5	98.4
45.1	33.1
45.3	32.1
47.1	29.9
67.2	18.7
67.4	18.2
79.2	11.3
79.4	10.9
79.6	10.9

Atomic structure:
```
Cu2Ag3
1.0
7.2290 -1.9294 0.0000
7.2290 1.9294 0.0000
-1.1489 0.0000 5.5687
Cu Ag
4 6
direct
0.0000 0.0000 0.0000
0.0031 0.0031 0.5268
0.2038 0.2038 0.6170
0.4079 0.4079 0.7182
0.2019 0.2019 0.1128
0.4111 0.4111 0.2188
0.5969 0.5969 0.8082
0.6037 0.6037 0.3238
0.8063 0.8063 0.9063
0.8085 0.8085 0.4277
```

(3)
Diffraction record for AcAg2Ge2. The PXRD pattern is computed, not measured: it uses DFT lattice parameters and positions (PBE) and a wavelength of 1.5418 Å.

Most intense lines, 10 to 80 degrees two-theta, in order of rising 2θ:
2θ (°)	I (rel.)
21.3	12.8
31.4	42.0
32.4	100.0
40.0	42.0
45.8	24.3
51.7	21.1
52.4	9.6
57.8	25.9
62.4	19.2
67.9	25.4

Atomic structure:
```
AcAg2Ge2
1.0
-2.2556 2.2556 5.5169
2.2556 -2.2556 5.5169
2.2556 2.2556 -5.5169
Ac Ag Ge
1 2 2
direct
0.0000 0.0000 0.0000
0.2500 0.7500 0.5000
0.7500 0.2500 0.5000
0.3854 0.3854 0.0000
0.6146 0.6146 0.0000
```

(4)
Diffraction record for DySi4Ir3. The PXRD pattern is computed, not measured: it uses DFT lattice parameters and positions (PBE) and a wavelength of 1.5418 Å.

Most intense lines, 10 to 80 degrees two-theta, in order of rising 2θ:
2θ (°)	I (rel.)
27.3	34.5
29.4	100.0
30.9	25.4
34.1	33.3
34.5	29.4
36.5	27.4
37.9	55.1
40.1	30.7
43.2	29.0
48.6	34.3

Atomic structure:
```
DySi4Ir3
1.0
5.2965 0.0000 0.0000
0.0000 3.7472 0.0000
-1.4167 0.0000 6.5259
Dy Si Ir
1 4 3
direct
0.0000 0.0000 0.0000
0.1427 0.5000 0.7057
0.4843 0.0000 0.7860
0.4940 0.0000 0.2844
0.8654 0.5000 0.3300
0.1616 0.0000 0.4711
0.5030 0.5000 0.0301
0.6756 0.5000 0.6377
```

(5)
Diffraction record for CoHgWAu. The PXRD pattern is computed, not measured: it uses DFT lattice parameters and positions (PBE) and a wavelength of 1.5418 Å.

Most intense lines, 10 to 80 degrees two-theta, in order of rising 2θ:
2θ (°)	I (rel.)
24.1	10.8
27.9	4.5
39.9	100.0
47.2	5.9
49.4	1.3
57.7	17.1
63.5	2.6
65.3	1.8
72.5	34.9
77.7	2.0

Atomic structure:
```
CoHgWAu
1.0
0.0000 3.1935 3.1935
3.1935 0.0000 3.1935
3.1935 3.1935 0.0000
Co Hg W Au
1 1 1 1
direct
0.0000 0.0000 0.0000
0.7500 0.7500 0.7500
0.2500 0.2500 0.2500
0.5000 0.5000 0.5000
```

(6)
Diffraction record for PmSiNi2. The PXRD pattern is computed, not measured: it uses DFT lattice parameters and positions (PBE) and a wavelength of 1.5418 Å.

Most intense lines, 10 to 80 degrees two-theta, in order of rising 2θ:
2θ (°)	I (rel.)
26.4	96.1
31.4	38.7
32.8	46.8
36.7	74.0
40.0	100.0
40.8	71.3
45.4	39.4
46.1	23.1
51.8	43.3
59.8	46.2

Atomic structure:
```
PmSiNi2
1.0
3.9934 0.0000 0.0000
0.0000 6.3575 0.0000
0.0000 0.0000 5.3082
Pm Si Ni
2 2 4
direct
0.2500 0.2500 0.1321
0.7500 0.7500 0.8679
0.2500 0.7500 0.3776
0.7500 0.2500 0.6224
0.2500 0.0534 0.6293
0.2500 0.4466 0.6293
0.7500 0.5534 0.3707
0.7500 0.9466 0.3707
```

(7)
Diffraction record for HfS4I4Br2. The PXRD pattern is computed, not measured: it uses DFT lattice parameters and positions (PBE) and a wavelength of 1.5418 Å.

Most intense lines, 10 to 80 degrees two-theta, in order of rising 2θ:
2θ (°)	I (rel.)
12.1	47.6
13.4	71.0
14.1	55.9
15.6	43.4
21.4	65.7
25.6	47.2
27.0	42.1
32.4	100.0
33.1	52.6
34.6	37.4

Atomic structure:
```
HfS4I4Br2
1.0
7.7297 0.0000 0.0000
3.6160 6.9672 0.0000
3.4184 2.4263 7.3008
Hf S I Br
1 4 4 2
direct
0.0000 0.0000 0.0000
0.2895 0.5998 0.4947
0.4411 0.3430 0.6674
0.5589 0.6570 0.3326
0.7105 0.4002 0.5053
0.0405 0.5820 0.1973
0.3888 0.8668 0.7766
0.6112 0.1332 0.2234
0.9595 0.4180 0.8027
0.1571 0.0082 0.2189
0.8429 0.9918 0.7811
```

(8)
Diffraction record for LaGa3Pd. The PXRD pattern is computed, not measured: it uses DFT lattice parameters and positions (PBE) and a wavelength of 1.5418 Å.

Most intense lines, 10 to 80 degrees two-theta, in order of rising 2θ:
2θ (°)	I (rel.)
28.8	25.2
32.6	75.5
33.5	100.0
41.2	70.1
45.0	20.3
47.7	30.0
53.5	36.5
59.7	23.0
64.8	23.5
70.2	22.4

Atomic structure:
```
LaGa3Pd
1.0
-2.1901 2.1901 5.2997
2.1901 -2.1901 5.2997
2.1901 2.1901 -5.2997
La Ga Pd
1 3 1
direct
0.0000 0.0000 0.0000
0.2418 0.7418 0.5000
0.5925 0.5925 0.0000
0.7418 0.2418 0.5000
0.3586 0.3586 0.0000
```

(9)
Diffraction record for TaAgNO. The PXRD pattern is computed, not measured: it uses DFT lattice parameters and positions (PBE) and a wavelength of 1.5418 Å.

Most intense lines, 10 to 80 degrees two-theta, in order of rising 2θ:
2θ (°)	I (rel.)
13.3	20.4
26.8	46.7
34.2	9.2
34.3	18.3
36.9	100.0
44.0	24.5
54.2	40.1
61.2	12.4
68.0	13.8
73.8	8.8

Atomic structure:
```
TaAgNO
1.0
6.0386 0.0000 0.0000
0.0000 6.6588 0.0000
0.0000 0.0000 5.2505
Ta Ag N O
4 4 4 4
direct
0.1266 0.0043 0.0000
0.3734 0.0043 0.5000
0.6266 0.9957 0.0000
0.8734 0.9957 0.5000
0.1237 0.4873 0.6668
0.3763 0.4873 0.1668
0.6237 0.5127 0.6668
0.8763 0.5127 0.1668
0.1200 0.1741 0.6685
0.3800 0.1741 0.1685
0.6200 0.8259 0.6685
0.8800 0.8259 0.1685
0.1253 0.8135 0.6659
0.3747 0.8135 0.1658
0.6253 0.1865 0.6659
0.8747 0.1865 0.1658
```